Structure and theoretical PXRD pattern of NaZn2Fe2As3 (DFT lattice parameters and positions (PBE); Cu Ka).
Kinematic intensities with the Lorentz-polarization factor, no thermal factor.

Most intense lines, 2θ = 15–90°, sorted by position:
2θ (°)  intensity  h k l
25.08  37  1 0 1
25.97  36  0 0 9
27.50  33  1 0 4
34.86  19  0 0 12
38.53  25  1 0 10
43.87  100  1 1 0
45.87  56  1 0 13
51.69  32  1 1 9
57.22  25  1 1 12
82.06  19  2 1 13

Structural model:
```
data_NaZn2Fe2As3
_space_group_name_H-M_alt 'R -3 m'
_space_group_IT_number 166
_space_group_name_Hall '-R 3 2"'
_cell_length_a 4.1275
_cell_length_b 4.1275
_cell_length_c 30.8811
_cell_angle_alpha 90.00
_cell_angle_beta 90.00
_cell_angle_gamma 120.00
loop_
_atom_site_label
_atom_site_type_symbol
_atom_site_fract_x
_atom_site_fract_y
_atom_site_fract_z
Na1 Na 0.0000 0.0000 0.0000
Zn1 Zn 0.0000 0.0000 0.4132
Fe1 Fe 0.0000 0.0000 0.1868
As1 As 0.0000 0.0000 0.2682
As2 As 0.0000 0.0000 0.5000
```

---

Structure and theoretical PXRD pattern of Nb2Fe2SbAs (DFT lattice parameters and positions (PBE); Cu Ka).
Kinematic intensities with the Lorentz-polarization factor, no thermal factor.

Most intense lines, 2θ = 15–90°, sorted by position:
2θ (°)  intensity  h k l
26.10  70  1 1 1
27.75  32  3 0 -1
34.78  29  2 0 -4
35.58  29  3 1 -1
36.27  58  3 1 0
40.27  93  3 1 -3
40.85  69  0 1 4
41.50  43  4 0 1
44.02  60  1 1 4
44.51  100  0 2 0

Structural model:
```
data_Nb2Fe2SbAs
_space_group_name_H-M_alt 'P 1 m 1'
_space_group_IT_number 6
_cell_length_a 9.660
_cell_length_b 4.071
_cell_length_c 10.852
_cell_angle_alpha 90.00
_cell_angle_beta 104.23
_cell_angle_gamma 90.00
loop_
_space_group_symop_operation_xyz
'x,y,z'
'x,-y,z'
loop_
_atom_site_label
_atom_site_type_symbol
_atom_site_fract_x
_atom_site_fract_y
_atom_site_fract_z
Nb1 Nb 0.000 0.000 0.000
Nb2 Nb 0.041 0.500 0.456
Nb3 Nb 0.268 0.000 0.886
Nb4 Nb 0.438 0.500 0.229
Nb5 Nb 0.501 0.500 0.927
Nb6 Nb 0.578 0.000 0.549
Nb7 Nb 0.673 0.000 0.304
Nb8 Nb 0.803 0.500 0.658
Fe1 Fe 0.124 0.500 0.192
Fe2 Fe 0.193 0.000 0.597
Fe3 Fe 0.247 0.500 0.010
Fe4 Fe 0.404 0.000 0.341
Fe5 Fe 0.565 0.500 0.694
Fe6 Fe 0.736 0.000 0.063
Fe7 Fe 0.756 0.500 0.424
Fe8 Fe 0.952 0.000 0.764
Sb1 Sb 0.113 0.500 0.740
Sb2 Sb 0.343 0.500 0.476
Sb3 Sb 0.790 0.500 0.911
Sb4 Sb 0.972 0.000 0.252
As1 As 0.261 0.000 0.133
As2 As 0.457 0.000 0.753
As3 As 0.678 0.500 0.151
As4 As 0.883 0.000 0.524
```

---

Structure and theoretical PXRD pattern of TaNbFe2As2 (DFT lattice parameters and positions (PBE); Cu Ka).
Kinematic intensities with the Lorentz-polarization factor, no thermal factor.

Most intense lines, 2θ = 15–90°, sorted by position:
2θ (°)  intensity  h k l
26.30  42  2 0 -3
30.46  26  0 0 4
43.61  100  2 1 3
51.64  20  4 1 0
54.12  7  4 0 2
63.38  16  0 0 8
69.85  8  6 0 -5
71.94  8  4 2 2
80.09  32  6 1 1
86.07  7  6 2 -5

Structural model:
```
data_TaNbFe2As2
_space_group_name_H-M_alt 'P 1 m 1'
_space_group_IT_number 6
_cell_length_a 8.302
_cell_length_b 4.149
_cell_length_c 12.455
_cell_angle_alpha 90.00
_cell_angle_beta 109.45
_cell_angle_gamma 90.00
loop_
_space_group_symop_operation_xyz
'x,y,z'
'x,-y,z'
loop_
_atom_site_label
_atom_site_type_symbol
_atom_site_fract_x
_atom_site_fract_y
_atom_site_fract_z
Ta1 Ta 0.000 0.000 0.000
Ta2 Ta 0.127 0.500 0.750
Ta3 Ta 0.502 0.000 0.001
Ta4 Ta 0.750 0.000 0.500
Nb1 Nb 0.252 0.000 0.500
Nb2 Nb 0.375 0.500 0.250
Nb3 Nb 0.625 0.500 0.750
Nb4 Nb 0.877 0.500 0.251
Fe1 Fe 0.125 0.000 0.249
Fe2 Fe 0.251 0.500 0.999
Fe3 Fe 0.373 0.000 0.751
Fe4 Fe 0.504 0.500 0.500
Fe5 Fe 0.627 0.000 0.251
Fe6 Fe 0.751 0.500 0.000
Fe7 Fe 0.880 0.000 0.751
Fe8 Fe 0.999 0.500 0.502
As1 As 0.063 0.500 0.124
As2 As 0.189 0.000 0.876
As3 As 0.313 0.500 0.624
As4 As 0.439 0.000 0.375
As5 As 0.564 0.500 0.126
As6 As 0.688 0.000 0.875
As7 As 0.814 0.500 0.626
As8 As 0.938 0.000 0.376
```

---

Structure and theoretical PXRD pattern of Fe2Sn2As3P (DFT lattice parameters and positions (PBE); Cu Ka).
Kinematic intensities with the Lorentz-polarization factor, no thermal factor.

Most intense lines, 2θ = 15–90°, sorted by position:
2θ (°)  intensity  h k l
26.94  85  1 1 1
27.12  100  3 1 -1
27.85  19  2 0 1
36.20  15  2 2 -1
44.58  64  4 2 0
44.99  19  6 0 -2
45.23  34  2 2 -2
52.36  16  5 1 1
52.67  13  7 1 -1
53.34  26  1 3 1

Structural model:
```
data_Fe2Sn2As3P
_space_group_name_H-M_alt 'C 1 2 1'
_space_group_IT_number 5
_cell_length_a 12.864
_cell_length_b 5.688
_cell_length_c 5.653
_cell_angle_alpha 90.00
_cell_angle_beta 115.51
_cell_angle_gamma 90.00
loop_
_space_group_symop_operation_xyz
'x,y,z'
'-x,y,-z'
'x+1/2,y+1/2,z'
'-x+1/2,y+1/2,-z'
loop_
_atom_site_label
_atom_site_type_symbol
_atom_site_fract_x
_atom_site_fract_y
_atom_site_fract_z
Fe1 Fe 0.120 0.000 0.381
Sn1 Sn 0.123 0.516 0.867
As1 As 0.000 0.194 0.000
As2 As 0.250 0.256 0.681
P1 P 0.000 0.818 0.500
```

---

Structure and theoretical PXRD pattern of Fe2AsPb (DFT lattice parameters and positions (PBE); Cu Ka).
Kinematic intensities with the Lorentz-polarization factor, no thermal factor.

Most intense lines, 2θ = 15–90°, sorted by position:
2θ (°)  intensity  h k l
27.59  29  2 0 0
30.93  22  2 1 0
39.42  100  2 2 0
41.92  9  3 0 0
48.79  11  2 2 2
56.97  15  4 0 0
58.90  8  3 2 2
64.45  19  4 2 0
71.49  27  4 2 2
84.83  8  4 4 0

Structural model:
```
data_Fe2AsPb
_space_group_name_H-M_alt 'P m -3 m'
_space_group_IT_number 221
_space_group_name_Hall '-P 4 2 3'
_cell_length_a 6.465
_cell_length_b 6.465
_cell_length_c 6.465
_cell_angle_alpha 90.00
_cell_angle_beta 90.00
_cell_angle_gamma 90.00
loop_
_atom_site_label
_atom_site_type_symbol
_atom_site_fract_x
_atom_site_fract_y
_atom_site_fract_z
Fe1 Fe 0.210 0.210 0.210
As1 As 0.000 0.000 0.000
As2 As 0.000 0.000 0.500
Pb1 Pb 0.000 0.500 0.500
Pb2 Pb 0.500 0.500 0.500
```

---

Structure and theoretical PXRD pattern of Fe2SiAs (DFT lattice parameters and positions (PBE); Cu Ka).
Kinematic intensities with the Lorentz-polarization factor, no thermal factor.

Most intense lines, 2θ = 15–90°, sorted by position:
2θ (°)  intensity  h k l
15.57  5  1 0 0
27.15  3  1 1 1
35.27  7  2 1 0
45.07  100  2 2 0
47.97  3  3 0 0
53.41  1  3 1 1
65.64  15  4 0 0
67.93  2  3 2 2
76.77  1  4 2 1
83.18  30  4 2 2

Structural model:
```
data_Fe2SiAs
_space_group_name_H-M_alt 'P m -3 m'
_space_group_IT_number 221
_space_group_name_Hall '-P 4 2 3'
_cell_length_a 5.690
_cell_length_b 5.690
_cell_length_c 5.690
_cell_angle_alpha 90.00
_cell_angle_beta 90.00
_cell_angle_gamma 90.00
loop_
_atom_site_label
_atom_site_type_symbol
_atom_site_fract_x
_atom_site_fract_y
_atom_site_fract_z
Fe1 Fe 0.244 0.244 0.244
Si1 Si 0.000 0.000 0.000
Si2 Si 0.000 0.000 0.500
As1 As 0.000 0.500 0.500
As2 As 0.500 0.500 0.500
```

---

Structure and theoretical PXRD pattern of Fe2SnAs (DFT lattice parameters and positions (PBE); Cu Ka).
Kinematic intensities with the Lorentz-polarization factor, no thermal factor.

Most intense lines, 2θ = 15–90°, sorted by position:
2θ (°)  intensity  h k l
29.07  9  2 0 0
32.59  5  2 1 0
41.57  100  2 2 0
44.22  2  3 0 0
51.52  3  2 2 2
60.25  16  4 0 0
62.30  2  3 2 2
68.26  6  4 2 0
75.85  30  4 2 2
85.01  2  5 2 0

Structural model:
```
data_Fe2SnAs
_space_group_name_H-M_alt 'P m -3 m'
_space_group_IT_number 221
_space_group_name_Hall '-P 4 2 3'
_cell_length_a 6.145
_cell_length_b 6.145
_cell_length_c 6.145
_cell_angle_alpha 90.00
_cell_angle_beta 90.00
_cell_angle_gamma 90.00
loop_
_atom_site_label
_atom_site_type_symbol
_atom_site_fract_x
_atom_site_fract_y
_atom_site_fract_z
Fe1 Fe 0.231 0.231 0.231
Sn1 Sn 0.000 0.500 0.500
Sn2 Sn 0.500 0.500 0.500
As1 As 0.000 0.000 0.000
As2 As 0.000 0.000 0.500
```

---

Structure and theoretical PXRD pattern of Fe2SnAs (DFT lattice parameters and positions (PBE); Cu Ka).
Kinematic intensities with the Lorentz-polarization factor, no thermal factor.

Most intense lines, 2θ = 15–90°, sorted by position:
2θ (°)  intensity  h k l
29.07  9  2 0 0
32.59  5  2 1 0
41.57  100  2 2 0
44.22  2  3 0 0
51.52  3  2 2 2
60.25  16  4 0 0
62.30  2  3 2 2
68.26  6  4 2 0
75.85  30  4 2 2
85.01  2  5 2 0

Structural model:
```
data_Fe2SnAs
_space_group_name_H-M_alt 'P m -3 m'
_space_group_IT_number 221
_space_group_name_Hall '-P 4 2 3'
_cell_length_a 6.145
_cell_length_b 6.145
_cell_length_c 6.145
_cell_angle_alpha 90.00
_cell_angle_beta 90.00
_cell_angle_gamma 90.00
loop_
_atom_site_label
_atom_site_type_symbol
_atom_site_fract_x
_atom_site_fract_y
_atom_site_fract_z
Fe1 Fe 0.231 0.231 0.231
Sn1 Sn 0.000 0.500 0.500
Sn2 Sn 0.500 0.500 0.500
As1 As 0.000 0.000 0.000
As2 As 0.000 0.000 0.500
```

---

Structure and theoretical PXRD pattern of TlFe3As5 (DFT lattice parameters and positions (PBE); Cu Ka).
Kinematic intensities with the Lorentz-polarization factor, no thermal factor.

Most intense lines, 2θ = 15–90°, sorted by position:
2θ (°)  intensity  h k l
23.30  44  1 0 1
30.49  100  1 0 2
35.69  66  1 1 0
37.51  15  1 1 1
41.44  14  2 0 0
45.80  23  0 0 4
47.63  77  2 0 2
59.38  30  1 1 4
60.91  28  2 1 2
75.59  15  2 2 0

Structural model:
```
data_TlFe3As5
_space_group_name_H-M_alt 'P 6/m m m'
_space_group_IT_number 191
_space_group_name_Hall '-P 6 2'
_cell_length_a 5.0320
_cell_length_b 5.0320
_cell_length_c 7.9240
_cell_angle_alpha 90.00
_cell_angle_beta 90.00
_cell_angle_gamma 120.00
loop_
_atom_site_label
_atom_site_type_symbol
_atom_site_fract_x
_atom_site_fract_y
_atom_site_fract_z
Tl1 Tl 0.0000 0.0000 0.0000
Fe1 Fe 0.0000 0.5000 0.5000
As1 As 0.0000 0.0000 0.5000
As2 As 0.3333 0.6667 0.2468
```

---

Structure and theoretical PXRD pattern of PmGaAsO (DFT lattice parameters and positions (PBE); Cu Ka).
Kinematic intensities with the Lorentz-polarization factor, no thermal factor.

Most intense lines, 2θ = 15–90°, sorted by position:
2θ (°)  intensity  h k l
18.73  77  1 0 0
28.26  79  1 1 1
29.41  96  0 2 0
30.23  100  0 0 2
35.10  65  1 2 0
35.80  64  1 0 2
37.98  72  2 0 0
42.69  60  0 2 2
46.99  70  1 2 2
58.45  51  2 2 2

Structural model:
```
data_PmGaAsO
_space_group_name_H-M_alt 'P m c 21'
_space_group_IT_number 26
_cell_length_a 4.738
_cell_length_b 6.074
_cell_length_c 5.912
_cell_angle_alpha 90.00
_cell_angle_beta 90.00
_cell_angle_gamma 90.00
loop_
_space_group_symop_operation_xyz
'x,y,z'
'-x,-y,z+1/2'
'-x,y,z'
'x,-y,z+1/2'
loop_
_atom_site_label
_atom_site_type_symbol
_atom_site_fract_x
_atom_site_fract_y
_atom_site_fract_z
Pm1 Pm 0.000 0.247 0.000
Ga1 Ga 0.500 0.155 0.597
As1 As 0.000 0.262 0.502
O1 O 0.500 0.160 0.961
```

---

Structure and theoretical PXRD pattern of Gd3As2 (DFT lattice parameters and positions (PBE); Cu Ka).
Kinematic intensities with the Lorentz-polarization factor, no thermal factor.

Most intense lines, 2θ = 15–90°, sorted by position:
2θ (°)  intensity  h k l
26.52  43  0 1 1
31.46  100  1 0 2
43.44  41  1 1 0
46.69  31  0 1 4
53.07  12  1 1 3
54.61  21  0 2 2
65.66  11  2 0 4
72.22  18  2 1 2
76.98  16  1 1 6
82.05  12  1 2 4

Structural model:
```
data_Gd3As2
_space_group_name_H-M_alt 'P -3 m 1'
_space_group_IT_number 164
_space_group_name_Hall '-P 3 2"'
_cell_length_a 4.1666
_cell_length_b 4.1666
_cell_length_c 9.2408
_cell_angle_alpha 90.00
_cell_angle_beta 90.00
_cell_angle_gamma 120.00
loop_
_atom_site_label
_atom_site_type_symbol
_atom_site_fract_x
_atom_site_fract_y
_atom_site_fract_z
Gd1 Gd 0.0000 0.0000 0.0000
Gd2 Gd 0.3333 0.6667 0.3436
As1 As 0.3333 0.6667 0.8192
```

---

Structure and theoretical PXRD pattern of Gd4As3 (DFT lattice parameters and positions (PBE); Cu Ka).
Kinematic intensities with the Lorentz-polarization factor, no thermal factor.

Most intense lines, 2θ = 15–90°, sorted by position:
2θ (°)  intensity  h k l
26.90  11  0 0 12
27.41  20  0 1 5
29.58  100  1 0 7
33.76  18  1 0 10
40.60  18  0 1 14
43.98  44  1 1 0
46.42  23  0 1 17
53.89  19  0 2 7
72.01  16  2 1 7
73.34  18  1 1 24

Structural model:
```
data_Gd4As3
_space_group_name_H-M_alt 'R -3 m'
_space_group_IT_number 166
_space_group_name_Hall '-R 3 2"'
_cell_length_a 4.1177
_cell_length_b 4.1177
_cell_length_c 39.7694
_cell_angle_alpha 90.00
_cell_angle_beta 90.00
_cell_angle_gamma 120.00
loop_
_atom_site_label
_atom_site_type_symbol
_atom_site_fract_x
_atom_site_fract_y
_atom_site_fract_z
Gd1 Gd 0.0000 0.0000 0.1261
Gd2 Gd 0.0000 0.0000 0.2916
As1 As 0.0000 0.0000 0.0000
As2 As 0.0000 0.0000 0.4195
```

---

Which formula does entry 10 have?
PmGaAsO

---

Number 5 is which compound?
Fe2AsPb